This entry pairs a crystal structure of PmTh2As2Rh7 with its computed powder diffractogram. Radiation: Cu Kα (weighted mean of Kα1 and Kα2). Structure: a cell relaxed with PBE.
Neutral-atom scattering factors, no anomalous dispersion.

Principal peaks in the range 2θ = 10–90°, in order of rising 2θ:
2θ/deg  d [Å]  I (rel.)
34.49  2.601  43.4
35.56  2.524  55.0
36.41  2.468  49.2
37.10  2.423  100.0
44.18  2.050  88.2
44.31  2.044  65.2

Structure:
```
12
Lattice="2.9199 -2.8867 0.0000 2.9199 2.8867 0.0000 -1.9343 0.0000 13.3744" Properties=species:S:1:pos:R:3 pbc="T T T"
Pm 0.0000 0.0000 0.0000
Th -0.0461 0.0000 4.6860
Th 3.9515 0.0000 8.6884
As 0.9939 0.0000 9.9543
As 2.9116 0.0000 3.4201
Rh 1.4573 1.4462 2.1634
Rh 0.8883 0.0000 7.5259
Rh 2.4481 1.4462 11.2110
Rh 2.9199 0.0000 0.0000
Rh 1.4573 -1.4462 2.1634
Rh 3.0172 0.0000 5.8485
Rh 2.4481 -1.4462 11.2110
```